Theoretical powder diffractogram of Al3Ni20B6 for a wavelength of 1.5418 Å, from a cell relaxed with GGA-PBE.
Kinematic intensities with the Lorentz-polarization factor, no thermal factor.

Most intense lines, 2θ = 5–70°, by intensity:
Position (°2θ)  intensity  index
45.01  100  3 3 3
51.67  37  5 3 1
38.47  20  4 2 0
52.46  17  6 0 0
42.30  15  4 2 2
49.25  15  4 4 0

Structural model:
```
data_Al3Ni20B6
_chemical_formula_sum 'Al12 Ni80 B24'
_space_group_name_H-M_alt 'F m -3 m'
_space_group_IT_number 225
_space_group_name_Hall '-F 4 2 3'
_cell_length_a 10.4662
_cell_length_b 10.4662
_cell_length_c 10.4662
_cell_angle_alpha 90.00
_cell_angle_beta 90.00
_cell_angle_gamma 90.00
loop_
_atom_site_label
_atom_site_type_symbol
_atom_site_fract_x
_atom_site_fract_y
_atom_site_fract_z
Al1 Al 0.0000 0.0000 0.0000
Al2 Al 0.2500 0.2500 0.2500
Ni1 Ni 0.0000 0.1691 0.1691
Ni2 Ni 0.1175 0.1175 0.3825
B1 B 0.0000 0.0000 0.2738
```